Record 1
Starting from a GGA+U-relaxed structure, the powder XRD pattern of MnPO4 was calculated for Cu Kα.

Atomic structure:
```
data_MnPO4
_chemical_formula_sum 'Mn4 P4 O16'
_cell_length_a 8.4031
_cell_length_b 4.8596
_cell_length_c 9.0741
_cell_angle_alpha 90.00
_cell_angle_beta 110.21
_cell_angle_gamma 90.00
_symmetry_space_group_name_H-M 'P 1'
_symmetry_Int_Tables_number 1
loop_
_symmetry_equiv_pos_as_xyz
'x,y,z'
loop_
_atom_site_label
_atom_site_fract_x
_atom_site_fract_y
_atom_site_fract_z
Mn1 0.0212 0.0000 0.1751
Mn2 0.4598 0.3520 0.7441
Mn3 0.5402 0.8520 0.2559
Mn4 0.9788 0.5000 0.8249
P1 0.2385 0.0437 0.9273
P2 0.2558 0.5110 0.3672
P3 0.7442 0.0110 0.6328
P4 0.7615 0.5437 0.0727
O1 0.1018 0.7055 0.3239
O2 0.1063 0.2137 0.9802
O3 0.1688 0.7537 0.8784
O4 0.2010 0.2123 0.3175
O5 0.2673 0.2007 0.7915
O6 0.3441 0.5174 0.5473
O7 0.3801 0.5993 0.2840
O8 0.4086 0.0263 0.0662
O9 0.5914 0.5263 0.9338
O10 0.6199 0.0993 0.7160
O11 0.6559 0.0174 0.4527
O12 0.7327 0.7007 0.2085
O13 0.7990 0.7123 0.6825
O14 0.8312 0.2537 0.1216
O15 0.8937 0.7137 0.0198
O16 0.8982 0.2055 0.6761
```

Largest 12 diffraction maxima, most intense first, 10 to 80 degrees two-theta:
h k l, two_theta, intensity
2 1 -1, 28.2, 100
1 1 1, 25.6, 85
0 1 1, 21.0, 59
0 0 1, 10.4, 58
1 1 -1, 22.1, 50
2 0 -2, 24.9, 47
1 0 -1, 12.4, 45
0 0 2, 20.9, 36
2 1 1, 33.7, 33
1 0 2, 27.0, 32
1 0 -2, 20.0, 28
2 1 -2, 31.1, 23

---

Record 2
Starting from a GGA+U-relaxed structure, the powder XRD pattern of Mn3P4O14 was calculated for Cu Kα.

Atomic structure:
```
data_Mn3P4O14
_chemical_formula_sum 'Mn6 P8 O28'
_cell_length_a 7.6653
_cell_length_b 8.3948
_cell_length_c 10.0720
_cell_angle_alpha 107.68
_cell_angle_beta 95.95
_cell_angle_gamma 107.90
_symmetry_space_group_name_H-M 'P 1'
_symmetry_Int_Tables_number 1
loop_
_symmetry_equiv_pos_as_xyz
'x,y,z'
loop_
_atom_site_label
_atom_site_fract_x
_atom_site_fract_y
_atom_site_fract_z
Mn1 0.1722 0.1780 0.2434
Mn2 0.2756 0.8421 0.2942
Mn3 0.3092 0.5329 0.7814
Mn4 0.6908 0.4671 0.2186
Mn5 0.7244 0.1579 0.7058
Mn6 0.8278 0.8220 0.7566
P1 0.1561 0.8209 0.9684
P2 0.2461 0.4412 0.0695
P3 0.2657 0.5959 0.4772
P4 0.3595 0.1951 0.5629
P5 0.6405 0.8049 0.4371
P6 0.7343 0.4041 0.5228
P7 0.7539 0.5588 0.9305
P8 0.8439 0.1791 0.0316
O1 0.0216 0.3570 0.0532
O2 0.0942 0.9261 0.8885
O3 0.1584 0.4012 0.3898
O4 0.1891 0.7230 0.4280
O5 0.2170 0.9296 0.1339
O6 0.2390 0.2897 0.6424
O7 0.2477 0.0729 0.4049
O8 0.2816 0.4140 0.9189
O9 0.2904 0.6413 0.6397
O10 0.2935 0.6374 0.1570
O11 0.3090 0.7507 0.9196
O12 0.3453 0.3481 0.1443
O13 0.4397 0.0877 0.6295
O14 0.4790 0.6395 0.4517
O15 0.5210 0.3605 0.5483
O16 0.5603 0.9123 0.3705
O17 0.6547 0.6519 0.8557
O18 0.6910 0.2493 0.0804
O19 0.7065 0.3626 0.8430
O20 0.7096 0.3587 0.3603
O21 0.7184 0.5860 0.0811
O22 0.7523 0.9271 0.5951
O23 0.7610 0.7103 0.3576
O24 0.7830 0.0704 0.8661
O25 0.8109 0.2770 0.5720
O26 0.8416 0.5988 0.6102
O27 0.9058 0.0739 0.1115
O28 0.9784 0.6430 0.9468
```

Largest 12 diffraction maxima, most intense first, 10 to 80 degrees two-theta:
h k l, two_theta, intensity
2 0 0, 25.0, 100
1 0 -1, 13.9, 92
1 1 -1, 19.0, 75
-1 2 1, 26.7, 55
1 -2 3, 31.7, 51
0 1 2, 25.8, 27
0 1 0, 11.8, 27
1 1 -3, 28.7, 26
-1 1 3, 33.2, 24
1 2 -3, 33.6, 22
-3 1 1, 35.6, 19
2 -2 2, 32.0, 16

---

Record 3
Starting from a GGA+U-relaxed structure, the powder XRD pattern of MnPO4 was calculated for Cu Kα.

Atomic structure:
```
data_MnPO4
_chemical_formula_sum 'Mn4 P4 O16'
_cell_length_a 9.4951
_cell_length_b 4.8159
_cell_length_c 7.7219
_cell_angle_alpha 90.00
_cell_angle_beta 90.00
_cell_angle_gamma 90.00
_symmetry_space_group_name_H-M 'P 1'
_symmetry_Int_Tables_number 1
loop_
_symmetry_equiv_pos_as_xyz
'x,y,z'
loop_
_atom_site_label
_atom_site_fract_x
_atom_site_fract_y
_atom_site_fract_z
Mn1 0.1357 0.0906 0.0000
Mn2 0.3643 0.5906 0.5000
Mn3 0.6357 0.4094 0.0000
Mn4 0.8643 0.9094 0.5000
P1 0.0755 0.5679 0.7442
P2 0.4245 0.0679 0.2442
P3 0.5755 0.9321 0.7442
P4 0.9245 0.4321 0.2442
O1 0.0481 0.2634 0.8050
O2 0.0672 0.3068 0.1875
O3 0.1373 0.7265 0.9014
O4 0.1763 0.5655 0.5884
O5 0.3237 0.0655 0.0884
O6 0.3627 0.2265 0.4014
O7 0.4328 0.8068 0.6875
O8 0.4519 0.7634 0.3050
O9 0.5481 0.2366 0.8050
O10 0.5672 0.1932 0.1875
O11 0.6373 0.7735 0.9014
O12 0.6763 0.9345 0.5884
O13 0.8237 0.4345 0.0884
O14 0.8627 0.2735 0.4014
O15 0.9328 0.6932 0.6875
O16 0.9519 0.7366 0.3050
```

Largest 12 diffraction maxima, most intense first, 10 to 80 degrees two-theta:
h k l, two_theta, intensity
2 0 1, 22.0, 100
1 1 1, 23.7, 69
1 1 2, 31.1, 46
0 1 1, 21.7, 33
2 0 2, 29.8, 19
4 0 0, 37.9, 12
1 2 0, 38.6, 12
1 2 1, 40.4, 11
2 3 2, 66.0, 11
3 1 1, 35.9, 9
1 1 3, 40.9, 8
2 0 0, 18.7, 8

---

Record 4
Starting from a GGA+U-relaxed structure, the powder XRD pattern of Mn2P2O7 was calculated for Cu Kα.

Atomic structure:
```
data_Mn2P2O7
_chemical_formula_sum 'Mn4 P4 O14'
_cell_length_a 4.5994
_cell_length_b 10.4444
_cell_length_c 5.4730
_cell_angle_alpha 90.00
_cell_angle_beta 97.19
_cell_angle_gamma 90.00
_symmetry_space_group_name_H-M 'P 1'
_symmetry_Int_Tables_number 1
loop_
_symmetry_equiv_pos_as_xyz
'x,y,z'
loop_
_atom_site_label
_atom_site_fract_x
_atom_site_fract_y
_atom_site_fract_z
Mn1 0.0998 0.1540 0.4100
Mn2 0.0998 0.3460 0.9100
Mn3 0.9002 0.6540 0.0900
Mn4 0.9002 0.8460 0.5900
P1 0.3593 0.6096 0.6502
P2 0.3593 0.8904 0.1502
P3 0.6407 0.1096 0.8498
P4 0.6407 0.3904 0.3498
O1 0.1326 0.6781 0.4649
O2 0.1326 0.8219 0.9649
O3 0.2124 0.5432 0.8542
O4 0.2124 0.9568 0.3542
O5 0.3855 0.1962 0.7459
O6 0.3855 0.3038 0.2459
O7 0.5000 0.0000 0.0000
O8 0.5000 0.5000 0.5000
O9 0.6145 0.6962 0.7541
O10 0.6145 0.8038 0.2541
O11 0.7876 0.0432 0.6458
O12 0.7876 0.4568 0.1458
O13 0.8674 0.1781 0.0351
O14 0.8674 0.3219 0.5351
```

Largest 12 diffraction maxima, most intense first, 10 to 80 degrees two-theta:
h k l, two_theta, intensity
1 2 -1, 29.4, 100
1 1 1, 28.4, 64
0 1 2, 34.1, 19
1 4 -1, 42.2, 19
3 2 1, 68.5, 13
0 4 0, 34.3, 12
1 0 2, 40.7, 10
2 0 2, 55.8, 10
2 2 -1, 44.6, 10
2 0 -2, 48.8, 9
1 2 3, 60.0, 9
0 5 2, 55.5, 9

---

Record 5
Starting from a GGA+U-relaxed structure, the powder XRD pattern of Mn3P2O8 was calculated for Cu Kα.

Atomic structure:
```
data_Mn3P2O8
_chemical_formula_sum 'Mn6 P4 O16'
_cell_length_a 6.2636
_cell_length_b 4.9539
_cell_length_c 10.7359
_cell_angle_alpha 90.00
_cell_angle_beta 90.14
_cell_angle_gamma 90.00
_symmetry_space_group_name_H-M 'P 1'
_symmetry_Int_Tables_number 1
loop_
_symmetry_equiv_pos_as_xyz
'x,y,z'
loop_
_atom_site_label
_atom_site_fract_x
_atom_site_fract_y
_atom_site_fract_z
Mn1 0.0000 0.0000 0.0000
Mn2 0.0000 0.5000 0.5000
Mn3 0.2651 0.0119 0.7172
Mn4 0.2651 0.4881 0.2172
Mn5 0.7349 0.5119 0.7828
Mn6 0.7349 0.9881 0.2828
P1 0.2384 0.5686 0.8984
P2 0.2384 0.9314 0.3984
P3 0.7616 0.0686 0.6016
P4 0.7616 0.4314 0.1016
O1 0.0372 0.7187 0.8390
O2 0.0372 0.7813 0.3390
O3 0.2185 0.2417 0.3912
O4 0.2185 0.2583 0.8912
O5 0.2459 0.6742 0.0345
O6 0.2459 0.8258 0.5345
O7 0.4272 0.6743 0.8190
O8 0.4272 0.8257 0.3190
O9 0.5728 0.1743 0.6810
O10 0.5728 0.3257 0.1810
O11 0.7541 0.1742 0.4655
O12 0.7541 0.3258 0.9655
O13 0.7815 0.7417 0.1088
O14 0.7815 0.7583 0.6088
O15 0.9628 0.2187 0.6610
O16 0.9628 0.2813 0.1610
```

Largest 12 diffraction maxima, most intense first, 10 to 80 degrees two-theta:
h k l, two_theta, intensity
1 1 -3, 34.0, 100
1 1 1, 24.4, 99
2 1 -1, 34.9, 83
0 1 3, 30.8, 75
1 0 2, 21.8, 71
2 2 2, 49.9, 53
1 0 0, 14.1, 43
2 0 0, 28.5, 35
3 1 3, 54.2, 26
1 0 -6, 53.2, 25
1 2 4, 52.4, 24
3 1 -1, 48.0, 21

---

Record 6
Starting from a GGA+U-relaxed structure, the powder XRD pattern of Mn2P3O10 was calculated for Cu Kα.

Atomic structure:
```
data_Mn2P3O10
_chemical_formula_sum 'Mn4 P6 O20'
_cell_length_a 4.7647
_cell_length_b 8.6611
_cell_length_c 9.1128
_cell_angle_alpha 90.00
_cell_angle_beta 99.70
_cell_angle_gamma 90.00
_symmetry_space_group_name_H-M 'P 1'
_symmetry_Int_Tables_number 1
loop_
_symmetry_equiv_pos_as_xyz
'x,y,z'
loop_
_atom_site_label
_atom_site_fract_x
_atom_site_fract_y
_atom_site_fract_z
Mn1 0.0500 0.0612 0.3252
Mn2 0.0500 0.4388 0.3252
Mn3 0.9500 0.5612 0.6748
Mn4 0.9500 0.9388 0.6748
P1 0.3372 0.2500 0.8211
P2 0.3981 0.7500 0.4542
P3 0.4863 0.2500 0.1493
P4 0.5137 0.7500 0.8507
P5 0.6019 0.2500 0.5458
P6 0.6628 0.7500 0.1789
O1 0.1716 0.1022 0.7998
O2 0.1716 0.3978 0.7998
O3 0.1951 0.7500 0.7637
O4 0.2335 0.6017 0.4805
O5 0.2335 0.8983 0.4805
O6 0.2972 0.2500 0.4557
O7 0.3393 0.1014 0.1789
O8 0.3393 0.3986 0.1789
O9 0.4162 0.7500 0.2803
O10 0.4594 0.7500 0.0214
O11 0.5406 0.2500 0.9786
O12 0.5838 0.2500 0.7197
O13 0.6607 0.6014 0.8211
O14 0.6607 0.8986 0.8211
O15 0.7028 0.7500 0.5443
O16 0.7665 0.1017 0.5195
O17 0.7665 0.3983 0.5195
O18 0.8049 0.2500 0.2363
O19 0.8284 0.6022 0.2002
O20 0.8284 0.8978 0.2002
```

Largest 12 diffraction maxima, most intense first, 10 to 80 degrees two-theta:
h k l, two_theta, intensity
1 2 0, 28.0, 100
1 0 -2, 25.0, 68
1 0 -3, 32.6, 62
0 0 2, 19.8, 39
1 1 2, 31.5, 35
0 2 3, 36.5, 26
1 0 1, 22.8, 24
2 3 2, 57.0, 21
1 3 2, 43.5, 21
2 2 -2, 45.6, 16
3 3 -1, 67.3, 14
2 0 4, 61.8, 14

---

Record 7
Starting from a GGA+U-relaxed structure, the powder XRD pattern of MnP3O9 was calculated for Cu Kα.

Atomic structure:
```
data_MnP3O9
_chemical_formula_sum 'Mn4 P12 O36'
_cell_length_a 8.4208
_cell_length_b 8.4436
_cell_length_c 8.9891
_cell_angle_alpha 90.00
_cell_angle_beta 90.00
_cell_angle_gamma 90.00
_symmetry_space_group_name_H-M 'P 1'
_symmetry_Int_Tables_number 1
loop_
_symmetry_equiv_pos_as_xyz
'x,y,z'
loop_
_atom_site_label
_atom_site_fract_x
_atom_site_fract_y
_atom_site_fract_z
Mn1 0.1395 0.1380 0.3521
Mn2 0.3605 0.8620 0.8521
Mn3 0.6395 0.3620 0.6479
Mn4 0.8605 0.6380 0.1479
P1 0.0337 0.6779 0.8059
P2 0.1754 0.5082 0.3043
P3 0.2039 0.1969 0.9433
P4 0.2961 0.8031 0.4433
P5 0.3246 0.4918 0.8043
P6 0.4663 0.3221 0.3059
P7 0.5337 0.8221 0.1941
P8 0.6754 0.9918 0.6957
P9 0.7039 0.3031 0.0567
P10 0.7961 0.6969 0.5567
P11 0.8246 0.0082 0.1957
P12 0.9663 0.1779 0.6941
O1 0.0428 0.2283 0.8498
O2 0.0883 0.1173 0.5892
O3 0.0911 0.5910 0.1785
O4 0.0956 0.3654 0.3728
O5 0.1353 0.8153 0.8605
O6 0.1508 0.5386 0.7463
O7 0.1607 0.1659 0.1004
O8 0.1886 0.9133 0.3561
O9 0.2135 0.6299 0.4358
O10 0.2865 0.3701 0.9358
O11 0.3114 0.0867 0.8561
O12 0.3393 0.8341 0.6004
O13 0.3492 0.4614 0.2463
O14 0.3647 0.1847 0.3605
O15 0.4044 0.6346 0.8728
O16 0.4089 0.4090 0.6785
O17 0.4117 0.8827 0.0892
O18 0.4572 0.7717 0.3498
O19 0.5428 0.2717 0.1502
O20 0.5883 0.3827 0.4108
O21 0.5911 0.9090 0.8215
O22 0.5956 0.1346 0.6272
O23 0.6353 0.6847 0.1395
O24 0.6508 0.9614 0.2537
O25 0.6607 0.3341 0.8996
O26 0.6886 0.5867 0.6439
O27 0.7135 0.8701 0.5642
O28 0.7865 0.1299 0.0642
O29 0.8114 0.4133 0.1439
O30 0.8393 0.6659 0.3996
O31 0.8492 0.0386 0.7537
O32 0.8647 0.3153 0.6395
O33 0.9044 0.8654 0.1272
O34 0.9089 0.0910 0.3215
O35 0.9117 0.6173 0.9108
O36 0.9572 0.7283 0.6502
```

Largest 12 diffraction maxima, most intense first, 10 to 80 degrees two-theta:
h k l, two_theta, intensity
1 0 2, 22.4, 100
1 2 0, 23.6, 76
2 1 1, 25.6, 49
0 1 3, 31.7, 42
1 3 0, 33.6, 32
3 0 1, 33.4, 31
0 0 2, 19.8, 19
1 1 1, 17.9, 19
1 1 2, 24.8, 19
4 2 1, 49.4, 18
4 0 0, 43.0, 14
4 0 3, 53.2, 13

---

Record 8
Starting from a GGA+U-relaxed structure, the powder XRD pattern of MnP4O12 was calculated for Cu Kα.

Atomic structure:
```
data_MnP4O12
_chemical_formula_sum 'Mn2 P8 O24'
_cell_length_a 7.1159
_cell_length_b 8.8367
_cell_length_c 8.4002
_cell_angle_alpha 90.00
_cell_angle_beta 125.28
_cell_angle_gamma 90.00
_symmetry_space_group_name_H-M 'P 1'
_symmetry_Int_Tables_number 1
loop_
_symmetry_equiv_pos_as_xyz
'x,y,z'
loop_
_atom_site_label
_atom_site_fract_x
_atom_site_fract_y
_atom_site_fract_z
Mn1 0.0000 0.0000 0.0000
Mn2 0.0000 0.5000 0.5000
P1 0.2120 0.2435 0.3504
P2 0.2120 0.2565 0.8504
P3 0.4561 0.0691 0.7411
P4 0.4561 0.4309 0.2411
P5 0.5439 0.5691 0.7589
P6 0.5439 0.9309 0.2589
P7 0.7880 0.7435 0.1496
P8 0.7880 0.7565 0.6496
O1 0.0255 0.1715 0.1567
O2 0.0255 0.3285 0.6567
O3 0.1280 0.1158 0.8923
O4 0.1280 0.3842 0.3923
O5 0.2969 0.5776 0.7025
O6 0.2969 0.9224 0.2025
O7 0.3067 0.1199 0.5131
O8 0.3067 0.3801 0.0131
O9 0.3614 0.5708 0.2615
O10 0.3614 0.9292 0.7615
O11 0.4258 0.2138 0.8451
O12 0.4258 0.2862 0.3451
O13 0.5742 0.7138 0.6549
O14 0.5742 0.7862 0.1549
O15 0.6386 0.0708 0.2385
O16 0.6386 0.4292 0.7385
O17 0.6933 0.6199 0.9869
O18 0.6933 0.8801 0.4869
O19 0.7031 0.0776 0.7975
O20 0.7031 0.4224 0.2975
O21 0.8720 0.6158 0.6077
O22 0.8720 0.8842 0.1077
O23 0.9745 0.6715 0.3433
O24 0.9745 0.8285 0.8433
```

Largest 12 diffraction maxima, most intense first, 10 to 80 degrees two-theta:
h k l, two_theta, intensity
1 1 0, 18.3, 100
1 2 -2, 29.3, 100
0 1 1, 16.4, 62
1 0 2, 37.3, 48
2 1 -1, 27.4, 45
1 1 -1, 16.5, 41
1 1 1, 27.2, 39
1 2 -1, 24.1, 30
2 1 -2, 28.3, 25
0 1 2, 27.9, 23
0 2 4, 57.7, 18
0 2 1, 24.0, 16